Computed powder X-ray diffraction pattern
Compound: Mn2ZnF6
Radiation: Cu Ka
Structure: a PBE+U-relaxed structure
Lines closer than 0.1° are merged.

Principal peaks in the range 5 to 70 degrees two-theta, low angle first:
index, Position (°2θ), I_rel
1 1 0, 25.67, 100
1 0 3, 32.76, 55
1 1 3, 37.67, 20
2 1 3, 49.94, 69
2 2 0, 52.75, 20
0 0 6, 55.87, 11
1 1 6, 62.46, 14
3 0 3, 63.50, 25

Cell and atoms:
```
Mn2ZnF6
1.0
4.908 0.000 0.000
0.000 4.908 0.000
0.000 0.000 9.873
Mn Zn F
4 2 12
Cartesian
0.000 0.000 1.643
0.000 0.000 8.230
2.454 2.454 3.294
2.454 2.454 6.579
0.000 0.000 4.937
2.454 2.454 0.000
0.945 0.945 3.339
0.945 0.945 6.534
0.991 0.991 0.000
1.464 3.445 4.937
1.509 3.400 1.598
1.509 3.400 8.275
3.400 1.509 1.598
3.400 1.509 8.275
3.445 1.464 4.937
3.918 3.918 0.000
3.963 3.963 3.339
3.963 3.963 6.534
```